Record 1
Diffraction record for TaBe8V3. The powder XRD pattern is computed, not measured: it uses a cell relaxed with GGA-PBE and a wavelength of 1.5418 Å.
No peak broadening, texture or thermal motion is included.

Atomic structure:
Unit cell a=4.434 b=4.434 c=7.156 alpha=90.00 beta=90.00 gamma=120.00
Fractional positions:
Ta: 0.000 0.000 0.000
Be: 0.162 0.325 0.679
Be: 0.162 0.838 0.679
Be: 0.333 0.667 0.435
Be: 0.333 0.667 0.931
Be: 0.505 0.010 0.189
Be: 0.505 0.495 0.189
Be: 0.675 0.838 0.679
Be: 0.990 0.495 0.189
V: 0.000 0.000 0.371
V: 0.667 0.333 0.502
V: 0.667 0.333 0.859

Top 10 peaks for 5° ≤ 2θ ≤ 70°, in order of rising 2θ:
two_theta	d (Å)	I/Imax
12.37	7.156	53
23.16	3.840	91
24.88	3.578	35
26.34	3.384	100
34.25	2.618	53
40.70	2.217	67
44.73	2.026	80
48.29	1.885	50
49.13	1.854	26
62.05	1.496	22

***

Record 2
Diffraction record for TaBeW. The powder XRD pattern is computed, not measured: it uses a cell relaxed with GGA-PBE and a wavelength of 1.5418 Å.
No peak broadening, texture or thermal motion is included.

Atomic structure:
Unit cell a=9.254 b=8.599 c=4.845 alpha=81.87 beta=66.91 gamma=31.22
Fractional positions:
Ta: 0.042 0.042 0.208
Ta: 0.208 0.208 0.042
Ta: 0.792 0.792 0.958
Ta: 0.958 0.958 0.792
Be: 0.250 0.250 0.500
Be: 0.500 0.500 0.250
Be: 0.500 0.500 0.750
Be: 0.750 0.750 0.500
W: 0.205 0.545 0.205
W: 0.455 0.795 0.455
W: 0.545 0.205 0.545
W: 0.795 0.455 0.795

Top 10 peaks for 5° ≤ 2θ ≤ 70°, in order of rising 2θ:
two_theta	d (Å)	I/Imax
34.56	2.595	64
37.53	2.397	100
38.67	2.328	62
39.18	2.299	61
40.70	2.217	25
44.05	2.056	36
48.67	1.871	45
63.20	1.471	19
67.08	1.395	19
68.24	1.374	31

***

Record 3
Diffraction record for TaBeW. The powder XRD pattern is computed, not measured: it uses a cell relaxed with GGA-PBE and a wavelength of 1.5418 Å.
No peak broadening, texture or thermal motion is included.

Atomic structure:
Unit cell a=5.890 b=4.838 c=4.795 alpha=75.38 beta=52.65 gamma=51.98
Fractional positions:
Ta: 0.164 0.836 0.164
Ta: 0.836 0.164 0.836
Be: 0.250 0.250 0.250
Be: 0.750 0.750 0.750
W: 0.338 0.338 0.662
W: 0.662 0.662 0.338

Top 10 peaks for 5° ≤ 2θ ≤ 70°, in order of rising 2θ:
two_theta	d (Å)	I/Imax
21.21	4.190	13
30.36	2.945	33
37.15	2.420	47
38.78	2.322	100
39.08	2.305	99
48.71	1.869	35
63.14	1.472	17
68.06	1.378	19
68.27	1.374	35
68.70	1.366	17

***

Record 4
Diffraction record for TaBe2Zn2. The powder XRD pattern is computed, not measured: it uses a cell relaxed with GGA-PBE and a wavelength of 1.5418 Å.
No peak broadening, texture or thermal motion is included.

Atomic structure:
Unit cell a=6.849 b=6.849 c=2.696 alpha=90.00 beta=90.00 gamma=90.00
Fractional positions:
Ta: 0.000 0.000 0.000
Ta: 0.500 0.500 0.000
Be: 0.127 0.373 0.000
Be: 0.373 0.873 0.000
Be: 0.627 0.127 0.000
Be: 0.873 0.627 0.000
Zn: 0.169 0.669 0.500
Zn: 0.331 0.169 0.500
Zn: 0.669 0.831 0.500
Zn: 0.831 0.331 0.500

Top 10 peaks for 5° ≤ 2θ ≤ 70°, in order of rising 2θ:
two_theta	d (Å)	I/Imax
18.32	4.843	100
26.02	3.424	24
29.16	3.063	34
37.13	2.421	44
38.21	2.356	73
41.70	2.166	87
42.68	2.118	81
44.78	2.024	28
60.45	1.531	20
67.65	1.385	31

***

Record 5
Diffraction record for Zr2TaBe. The powder XRD pattern is computed, not measured: it uses a cell relaxed with GGA-PBE and a wavelength of 1.5418 Å.
No peak broadening, texture or thermal motion is included.

Atomic structure:
Unit cell a=3.089 b=3.592 c=6.629 alpha=90.00 beta=90.08 gamma=90.00
Fractional positions:
Zr: 0.000 0.000 0.229
Zr: 0.000 0.000 0.771
Ta: 0.500 0.500 0.500
Be: 0.500 0.500 0.000

Top 10 peaks for 5° ≤ 2θ ≤ 70°, in order of rising 2θ:
two_theta	d (Å)	I/Imax
13.36	6.629	91
28.26	3.158	58
31.97	2.800	43
36.90	2.436	100
38.44	2.342	92
39.89	2.260	80
40.85	2.209	42
57.33	1.607	25
66.50	1.406	35
69.48	1.353	28

***

Record 6
Diffraction record for TbBe13. The powder XRD pattern is computed, not measured: it uses a cell relaxed with GGA-PBE and a wavelength of 1.5418 Å.
No peak broadening, texture or thermal motion is included.

Atomic structure:
Unit cell a=7.207 b=7.207 c=7.207 alpha=60.00 beta=60.00 gamma=60.00
Fractional positions:
Tb: 0.250 0.250 0.250
Tb: 0.750 0.750 0.750
Be: 0.000 0.000 0.000
Be: 0.063 0.290 0.710
Be: 0.063 0.710 0.937
Be: 0.063 0.937 0.290
Be: 0.210 0.437 0.790
Be: 0.210 0.563 0.437
Be: 0.210 0.790 0.563
Be: 0.290 0.063 0.937
Be: 0.290 0.710 0.063
Be: 0.290 0.937 0.710
Be: 0.437 0.210 0.563
Be: 0.437 0.563 0.790
Be: 0.437 0.790 0.210
Be: 0.500 0.500 0.500
Be: 0.563 0.210 0.790
Be: 0.563 0.437 0.210
Be: 0.563 0.790 0.437
Be: 0.710 0.063 0.290
Be: 0.710 0.290 0.937
Be: 0.710 0.937 0.063
Be: 0.790 0.210 0.437
Be: 0.790 0.437 0.563
Be: 0.790 0.563 0.210
Be: 0.937 0.063 0.710
Be: 0.937 0.290 0.063
Be: 0.937 0.710 0.290

Top 10 peaks for 5° ≤ 2θ ≤ 70°, in order of rising 2θ:
two_theta	d (Å)	I/Imax
17.40	5.096	90
24.71	3.603	100
30.38	2.942	44
35.22	2.548	22
39.54	2.279	72
43.50	2.080	61
53.98	1.699	23
57.16	1.611	25
66.11	1.413	17
68.95	1.362	28

***

Record 7
Diffraction record for TbBeV. The powder XRD pattern is computed, not measured: it uses a cell relaxed with GGA-PBE and a wavelength of 1.5418 Å.
No peak broadening, texture or thermal motion is included.

Atomic structure:
Unit cell a=3.311 b=3.311 c=9.685 alpha=90.00 beta=90.00 gamma=90.12
Fractional positions:
Tb: 0.000 0.000 0.182
Tb: 0.000 0.000 0.818
Be: 0.000 0.000 0.500
Be: 0.500 0.500 0.000
V: 0.500 0.500 0.400
V: 0.500 0.500 0.600

Top 10 peaks for 5° ≤ 2θ ≤ 70°, in order of rising 2θ:
two_theta	d (Å)	I/Imax
18.32	4.843	36
26.93	3.311	50
27.63	3.228	38
28.49	3.133	77
32.77	2.733	77
38.45	2.341	79
38.97	2.311	100
48.00	1.895	34
55.51	1.655	27
62.20	1.492	28

***

Record 8
Diffraction record for Tb5BeZn4. The powder XRD pattern is computed, not measured: it uses a cell relaxed with GGA-PBE and a wavelength of 1.5418 Å.
No peak broadening, texture or thermal motion is included.

Atomic structure:
Unit cell a=3.538 b=3.538 c=17.847 alpha=90.00 beta=90.00 gamma=90.00
Fractional positions:
Tb: 0.000 0.000 0.000
Tb: 0.000 0.000 0.204
Tb: 0.000 0.000 0.408
Tb: 0.000 0.000 0.592
Tb: 0.000 0.000 0.796
Be: 0.500 0.500 0.500
Zn: 0.500 0.500 0.102
Zn: 0.500 0.500 0.306
Zn: 0.500 0.500 0.694
Zn: 0.500 0.500 0.898

Top 10 peaks for 5° ≤ 2θ ≤ 70°, in order of rising 2θ:
two_theta	d (Å)	I/Imax
24.95	3.569	13
25.17	3.538	26
35.73	2.513	100
35.90	2.502	51
44.21	2.049	12
51.18	1.785	9
51.67	1.769	18
58.32	1.582	5
64.09	1.453	17
64.41	1.446	35

***

Record 9
Diffraction record for TbBeZn11. The powder XRD pattern is computed, not measured: it uses a cell relaxed with GGA-PBE and a wavelength of 1.5418 Å.
No peak broadening, texture or thermal motion is included.

Atomic structure:
Unit cell a=6.691 b=6.691 c=6.662 alpha=98.47 beta=98.47 gamma=134.30
Fractional positions:
Tb: 0.000 0.000 0.000
Be: 0.500 0.500 0.500
Zn: 0.000 0.000 0.500
Zn: 0.000 0.500 0.000
Zn: 0.016 0.363 0.357
Zn: 0.293 0.506 0.777
Zn: 0.363 0.016 0.357
Zn: 0.494 0.707 0.223
Zn: 0.500 0.000 0.000
Zn: 0.506 0.293 0.777
Zn: 0.637 0.984 0.643
Zn: 0.707 0.494 0.223
Zn: 0.984 0.637 0.643

Top 10 peaks for 5° ≤ 2θ ≤ 70°, in order of rising 2θ:
two_theta	d (Å)	I/Imax
28.56	3.125	24
34.53	2.598	37
35.26	2.545	26
35.52	2.528	51
40.27	2.239	51
40.57	2.224	40
41.00	2.202	54
41.16	2.193	75
41.41	2.180	100
45.67	1.986	23

***

Record 10
Diffraction record for Be22Tc. The powder XRD pattern is computed, not measured: it uses a cell relaxed with GGA-PBE and a wavelength of 1.5418 Å.
No peak broadening, texture or thermal motion is included.

Atomic structure:
Unit cell a=8.131 b=8.131 c=8.131 alpha=60.00 beta=60.00 gamma=60.00
Fractional positions:
Be: 0.000 0.000 0.000
Be: 0.000 0.000 0.500
Be: 0.000 0.500 0.000
Be: 0.000 0.500 0.500
Be: 0.010 0.010 0.740
Be: 0.010 0.740 0.010
Be: 0.010 0.740 0.740
Be: 0.176 0.176 0.443
Be: 0.176 0.176 0.705
Be: 0.176 0.443 0.176
Be: 0.176 0.443 0.705
Be: 0.176 0.705 0.176
Be: 0.176 0.705 0.443
Be: 0.260 0.260 0.990
Be: 0.260 0.990 0.260
Be: 0.260 0.990 0.990
Be: 0.295 0.557 0.824
Be: 0.295 0.824 0.557
Be: 0.295 0.824 0.824
Be: 0.443 0.176 0.176
Be: 0.443 0.176 0.705
Be: 0.443 0.705 0.176
Be: 0.500 0.000 0.000
Be: 0.500 0.000 0.500
Be: 0.500 0.500 0.000
Be: 0.500 0.500 0.500
Be: 0.557 0.295 0.824
Be: 0.557 0.824 0.295
Be: 0.557 0.824 0.824
Be: 0.705 0.176 0.176
Be: 0.705 0.176 0.443
Be: 0.705 0.443 0.176
Be: 0.740 0.010 0.010
Be: 0.740 0.010 0.740
Be: 0.740 0.740 0.010
Be: 0.824 0.295 0.557
Be: 0.824 0.295 0.824
Be: 0.824 0.557 0.295
Be: 0.824 0.557 0.824
Be: 0.824 0.824 0.295
Be: 0.824 0.824 0.557
Be: 0.990 0.260 0.260
Be: 0.990 0.260 0.990
Be: 0.990 0.990 0.260
Tc: 0.375 0.375 0.375
Tc: 0.625 0.625 0.625

Top 10 peaks for 5° ≤ 2θ ≤ 70°, in order of rising 2θ:
two_theta	d (Å)	I/Imax
13.34	6.639	75
21.86	4.066	100
25.69	3.467	73
33.98	2.638	31
38.35	2.347	43
40.77	2.213	23
44.57	2.033	21
46.73	1.944	54
50.17	1.818	36
52.16	1.754	26

***

Record 11
Diffraction record for Be6Tc7. The powder XRD pattern is computed, not measured: it uses a cell relaxed with GGA-PBE and a wavelength of 1.5418 Å.
No peak broadening, texture or thermal motion is included.

Atomic structure:
Unit cell a=8.812 b=8.812 c=8.812 alpha=32.91 beta=32.91 gamma=32.91
Fractional positions:
Be: 0.061 0.061 0.061
Be: 0.155 0.155 0.155
Be: 0.334 0.334 0.334
Be: 0.666 0.666 0.666
Be: 0.845 0.845 0.845
Be: 0.939 0.939 0.939
Tc: 0.077 0.584 0.584
Tc: 0.416 0.416 0.923
Tc: 0.416 0.923 0.416
Tc: 0.500 0.500 0.500
Tc: 0.584 0.077 0.584
Tc: 0.584 0.584 0.077
Tc: 0.923 0.416 0.416

Top 10 peaks for 5° ≤ 2θ ≤ 70°, in order of rising 2θ:
two_theta	d (Å)	I/Imax
20.85	4.260	88
21.34	4.164	100
25.05	3.555	31
35.46	2.531	14
41.95	2.153	40
42.21	2.141	41
42.44	2.130	34
43.47	2.082	33
45.73	1.984	63
49.29	1.849	55

***

Record 12
Diffraction record for BeTc8. The powder XRD pattern is computed, not measured: it uses a cell relaxed with GGA-PBE and a wavelength of 1.5418 Å.
No peak broadening, texture or thermal motion is included.

Atomic structure:
Unit cell a=6.050 b=6.050 c=6.050 alpha=95.84 beta=95.84 gamma=142.78
Fractional positions:
Be: 0.000 0.000 0.000
Tc: 0.000 0.332 0.332
Tc: 0.000 0.668 0.668
Tc: 0.332 0.000 0.332
Tc: 0.336 0.336 0.672
Tc: 0.336 0.664 0.000
Tc: 0.664 0.336 0.000
Tc: 0.664 0.664 0.328
Tc: 0.668 0.000 0.668

Top 10 peaks for 5° ≤ 2θ ≤ 70°, in order of rising 2θ:
two_theta	d (Å)	I/Imax
15.45	5.734	6
21.92	4.055	3
25.55	3.486	5
33.91	2.643	5
34.99	2.564	2
40.75	2.214	100
47.07	1.931	16
47.57	1.911	32
69.16	1.358	20
69.56	1.352	10